Starting from a structure optimized by DFT (PBE), the powder X-ray diffraction pattern of PmYTm4 was calculated for Cu Ka.
Intensities are scaled so that the largest is 100.

The 8 most intense peaks (2θ = 15–90°), in order of rising 2θ:
2θ (°)	Rel. int.
31.05	100
35.88	17
36.06	34
51.79	24
51.92	12
61.50	14
61.74	28
64.73	12

Cell and atoms:
Lattice parameters (Å, degrees): 3.5332 4.9820 10.5811 90.00 90.29 90.00
Fractional coordinates of all 6 atoms:
Pm 0.0000 0.0000 0.0000
Y 0.5000 0.5000 0.5000
Tm 0.0008 0.0000 0.6667
Tm 0.4999 0.5000 0.1689
Tm 0.5001 0.5000 0.8311
Tm 0.9992 0.0000 0.3333